Structure and theoretical PXRD pattern of Sr2ZrWO6 (a PBE+U-relaxed structure; Cu Kα).

Structure:
Unit cell a=5.861 b=5.861 c=5.861 alpha=60.00 beta=60.00 gamma=60.00
Fractional coordinates of all 10 atoms:
Sr  0.250  0.250  0.250
Sr  0.750  0.750  0.750
Zr  0.000  0.000  0.000
W  0.500  0.500  0.500
O  0.253  0.253  0.747
O  0.253  0.747  0.253
O  0.253  0.747  0.747
O  0.747  0.253  0.253
O  0.747  0.253  0.747
O  0.747  0.747  0.253

Principal peaks in the range 2θ from 10° to 90°, low angle first:
d_spacing	2θ (°)	Rel. int.
4.785	18.54	10
4.144	21.44	12
2.930	30.51	100
2.499	35.94	6
2.072	43.68	32
1.692	54.22	40
1.465	63.49	20
1.310	72.07	18
1.196	80.24	6
1.108	88.22	22



Structure and theoretical PXRD pattern of Li4Ti5Mn3O16 (a PBE+U-relaxed structure; Cu Kα).

Structure:
Unit cell a=6.063 b=6.063 c=9.658 alpha=91.75 beta=91.75 gamma=58.17
Fractional coordinates of all 28 atoms:
Li  0.000  0.000  0.000
Li  0.009  0.009  0.502
Li  0.352  0.352  0.594
Li  0.672  0.672  0.093
Ti  0.164  0.657  0.272
Ti  0.343  0.343  0.994
Ti  0.657  0.164  0.272
Ti  0.667  0.667  0.496
Ti  0.834  0.834  0.761
Mn  0.174  0.174  0.286
Mn  0.348  0.841  0.784
Mn  0.841  0.348  0.784
O  0.008  0.008  0.693
O  0.043  0.506  0.150
O  0.168  0.168  0.905
O  0.168  0.657  0.903
O  0.347  0.825  0.407
O  0.356  0.356  0.389
O  0.485  0.485  0.157
O  0.506  0.043  0.150
O  0.538  0.538  0.654
O  0.543  0.982  0.648
O  0.657  0.168  0.903
O  0.679  0.679  0.882
O  0.825  0.347  0.407
O  0.841  0.841  0.392
O  0.982  0.543  0.648
O  0.997  0.997  0.189

Principal peaks in the range 2θ from 10° to 90°, low angle first:
d_spacing	2θ (°)	Rel. int.
4.826	18.38	100
4.712	18.83	29
4.576	19.40	80
4.512	19.67	50
2.708	33.08	35
2.531	35.47	39
2.288	39.38	34
2.027	44.70	35
1.994	45.49	35
1.514	61.21	45



Structure and theoretical PXRD pattern of Si2Sb2Mo13O28 (a PBE+U-relaxed structure; Cu Kα).

Structure:
Unit cell a=5.978 b=8.948 c=12.633 alpha=86.69 beta=76.58 gamma=75.89
Fractional coordinates of all 45 atoms:
Si  0.000  0.000  0.000
Si  0.421  0.629  0.999
Sb  0.053  0.314  0.308
Sb  0.369  0.316  0.692
Mo  0.103  0.938  0.700
Mo  0.210  0.314  0.999
Mo  0.313  0.692  0.298
Mo  0.438  0.962  0.144
Mo  0.495  0.315  0.429
Mo  0.582  0.961  0.855
Mo  0.614  0.693  0.699
Mo  0.638  0.315  0.146
Mo  0.782  0.315  0.853
Mo  0.804  0.938  0.299
Mo  0.840  0.668  0.143
Mo  0.925  0.315  0.570
Mo  0.982  0.668  0.855
O  0.023  0.182  0.718
O  0.042  0.431  0.871
O  0.067  0.934  0.570
O  0.140  0.664  0.998
O  0.164  0.925  0.264
O  0.200  0.214  0.430
O  0.221  0.416  0.570
O  0.254  0.705  0.735
O  0.282  0.966  0.000
O  0.349  0.695  0.428
O  0.379  0.199  0.127
O  0.394  0.448  0.281
O  0.431  0.927  0.732
O  0.477  0.692  0.108
O  0.505  0.198  0.872
O  0.507  0.436  0.999
O  0.587  0.693  0.893
O  0.630  0.937  0.427
O  0.632  0.213  0.570
O  0.669  0.447  0.717
O  0.748  0.183  0.282
O  0.787  0.693  0.571
O  0.789  0.417  0.430
O  0.835  0.937  0.108
O  0.914  0.193  0.999
O  0.916  0.431  0.124
O  0.941  0.936  0.893
O  0.985  0.703  0.268

Principal peaks in the range 2θ from 10° to 90°, low angle first:
d_spacing	2θ (°)	Rel. int.
4.339	20.47	52
3.010	29.68	42
2.997	29.81	44
2.976	30.02	66
2.893	30.91	100
2.739	32.70	89
2.727	32.84	56
2.633	34.06	44
2.627	34.13	45
1.736	52.73	38



Structure and theoretical PXRD pattern of CaNiAsO5 (a PBE+U-relaxed structure; Cu Kα).

Structure:
Unit cell a=5.868 b=7.529 c=8.854 alpha=90.00 beta=90.00 gamma=90.00
Fractional coordinates of all 32 atoms:
Ca  0.026  0.151  0.167
Ca  0.474  0.849  0.667
Ca  0.526  0.349  0.833
Ca  0.974  0.651  0.333
Ni  0.249  0.254  0.504
Ni  0.251  0.746  0.004
Ni  0.749  0.246  0.496
Ni  0.751  0.754  0.996
As  0.017  0.607  0.693
As  0.483  0.393  0.193
As  0.517  0.893  0.307
As  0.983  0.107  0.807
O  0.004  0.127  0.426
O  0.008  0.923  0.927
O  0.087  0.774  0.572
O  0.241  0.133  0.716
O  0.249  0.407  0.310
O  0.251  0.593  0.810
O  0.259  0.867  0.216
O  0.413  0.226  0.072
O  0.492  0.077  0.427
O  0.496  0.873  0.926
O  0.504  0.373  0.574
O  0.508  0.577  0.073
O  0.587  0.726  0.428
O  0.741  0.367  0.284
O  0.749  0.093  0.690
O  0.751  0.907  0.190
O  0.759  0.633  0.784
O  0.913  0.274  0.928
O  0.992  0.423  0.573
O  0.996  0.627  0.074

Principal peaks in the range 2θ from 10° to 90°, low angle first:
d_spacing	2θ (°)	Rel. int.
5.736	15.45	53
4.892	18.14	40
4.102	21.67	37
3.169	28.16	100
2.748	32.59	82
2.612	34.33	81
2.577	34.82	55
2.489	36.09	46
2.324	38.74	43
1.602	57.54	49



Structure and theoretical PXRD pattern of MgMn6O8F4 (a PBE+U-relaxed structure; Cu Kα).

Structure:
Unit cell a=5.706 b=5.956 c=7.771 alpha=106.84 beta=96.62 gamma=114.30
Fractional coordinates of all 19 atoms:
Mg  0.000  0.000  0.000
Mn  0.284  0.523  0.352
Mn  0.366  0.892  0.752
Mn  0.601  0.999  0.170
Mn  0.635  0.477  0.656
Mn  0.967  0.475  0.986
Mn  0.970  0.996  0.506
O  0.016  0.686  0.825
O  0.171  0.814  0.517
O  0.262  0.331  0.525
O  0.316  0.686  0.166
O  0.583  0.833  0.913
O  0.608  0.268  0.814
O  0.646  0.717  0.524
O  0.930  0.292  0.165
F  0.062  0.175  0.817
F  0.373  0.195  0.150
F  0.727  0.161  0.450
F  0.889  0.832  0.195

Principal peaks in the range 2θ from 10° to 90°, low angle first:
d_spacing	2θ (°)	Rel. int.
3.855	23.07	100
3.159	28.25	98
2.601	34.48	40
2.594	34.58	37
2.555	35.12	50
2.433	36.95	29
2.187	41.28	24
1.928	47.15	22
1.670	54.98	36
1.516	61.14	22



Structure and theoretical PXRD pattern of Mn3CuNi2P6O24 (a PBE+U-relaxed structure; Cu Kα).

Structure:
Unit cell a=8.433 b=8.433 c=8.433 alpha=60.62 beta=60.62 gamma=60.62
Fractional coordinates of all 36 atoms:
Mn  0.000  0.000  0.000
Mn  0.217  0.217  0.217
Mn  0.500  0.500  0.500
Cu  0.716  0.716  0.716
Ni  0.358  0.358  0.358
Ni  0.857  0.857  0.857
P  0.108  0.819  0.399
P  0.317  0.609  0.900
P  0.399  0.108  0.819
P  0.609  0.900  0.317
P  0.819  0.399  0.108
P  0.900  0.317  0.609
O  0.054  0.849  0.237
O  0.100  0.299  0.441
O  0.116  0.772  0.915
O  0.169  0.981  0.363
O  0.237  0.054  0.849
O  0.276  0.620  0.411
O  0.299  0.441  0.100
O  0.348  0.553  0.738
O  0.363  0.169  0.981
O  0.411  0.276  0.620
O  0.441  0.100  0.299
O  0.474  0.663  0.878
O  0.553  0.738  0.348
O  0.598  0.948  0.806
O  0.620  0.411  0.276
O  0.663  0.878  0.474
O  0.738  0.348  0.553
O  0.772  0.915  0.116
O  0.806  0.598  0.948
O  0.849  0.237  0.054
O  0.878  0.474  0.663
O  0.915  0.116  0.772
O  0.948  0.806  0.598
O  0.981  0.363  0.169

Principal peaks in the range 2θ from 10° to 90°, low angle first:
d_spacing	2θ (°)	Rel. int.
4.256	20.87	100
3.616	24.62	96
3.470	25.68	19
2.669	33.58	72
2.457	36.57	41
1.889	48.17	37
1.808	50.48	27
1.608	57.28	28
1.600	57.61	18
1.456	63.93	21